Record 1
Computed powder diffraction line list
Compound: Y17Al12
Radiation: a wavelength of 1.5418 Å
Structure: DFT lattice parameters and positions (PBE)

Structural model:
a b c (Å): 11.2528 11.2528 11.2528
angles (deg): 90.00 90.00 90.00
Space group I-43m (No. 217)
Symmetry-distinct sites (fractional):
1 Y 0.0000 0.0000 0.0000 (multiplicity 2)
2 Y 0.0480 0.3559 0.3559 (multiplicity 24)
3 Y 0.1672 0.1672 0.8328 (multiplicity 8)
4 Al 0.0870 0.0870 0.2731 (multiplicity 24)

Peak list (10 most intense, 2θ from 15° to 90°, by intensity)
2θ (°)  d_spacing  Rel. int.
33.79  2.652  100
60.46  1.531  24
19.32  4.594  19
39.22  2.297  10
37.49  2.399  9
40.89  2.207  9
31.81  2.813  9
48.54  1.875  8
62.90  1.478  8
72.22  1.308  6

Record 2
Computed powder diffraction line list
Compound: Y5Al2
Radiation: a wavelength of 1.5418 Å
Structure: DFT lattice parameters and positions (PBE)

Structural model:
a b c (Å): 7.9758 14.6902 6.6252
angles (deg): 90.00 90.00 90.00
Space group Ibam (No. 72)
Symmetry-distinct sites (fractional):
1 Y 0.0000 0.0000 0.2500 (multiplicity 4)
2 Y 0.0000 0.2335 0.2500 (multiplicity 8)
3 Y 0.1602 0.4158 0.0000 (multiplicity 8)
4 Al 0.2276 0.3736 0.5000 (multiplicity 8)

Peak list (10 most intense, 2θ from 15° to 90°, by intensity)
2θ (°)  d_spacing  Rel. int.
35.22  2.548  100
36.53  2.460  92
33.16  2.701  89
29.83  2.995  77
32.48  2.757  57
34.28  2.616  53
54.14  1.694  44
31.94  2.802  38
29.99  2.980  34
21.23  4.185  33

Record 3
Computed powder diffraction line list
Compound: Y3Al2
Radiation: a wavelength of 1.5418 Å
Structure: DFT lattice parameters and positions (PBE)

Structural model:
a b c (Å): 8.2483 8.2483 7.6339
angles (deg): 90.00 90.00 90.00
Space group P4_2/mnm (No. 136)
Symmetry-distinct sites (fractional):
1 Y 0.0000 0.5000 0.2500 (multiplicity 4)
2 Y 0.1522 0.1522 0.0000 (multiplicity 4)
3 Y 0.2007 0.2007 0.5000 (multiplicity 4)
4 Al 0.1187 0.8813 0.3026 (multiplicity 8)

Peak list (10 most intense, 2θ from 15° to 90°, by intensity)
2θ (°)  d_spacing  Rel. int.
31.95  2.801  100
33.79  2.652  97
34.38  2.608  73
27.94  3.194  41
30.66  2.916  37
24.13  3.689  36
52.85  1.732  28
36.40  2.468  23
60.07  1.540  23
51.58  1.772  19

Record 4
Computed powder diffraction line list
Compound: YbYAl6
Radiation: a wavelength of 1.5418 Å
Structure: DFT lattice parameters and positions (PBE)

Structural model:
a b c (Å): 6.0847 6.0847 9.6293
angles (deg): 90.00 90.00 120.00
Space group P6_3/mmc (No. 194)
Symmetry-distinct sites (fractional):
1 Yb 0.0000 0.0000 0.0000 (multiplicity 2)
2 Y 0.3333 0.6667 0.2500 (multiplicity 2)
3 Al 0.0000 0.5000 0.0000 (multiplicity 6)
4 Al 0.1790 0.3579 0.7500 (multiplicity 6)

Peak list (10 most intense, 2θ from 15° to 90°, by intensity)
2θ (°)  d_spacing  Rel. int.
38.97  2.311  100
25.05  3.554  93
29.36  3.042  41
16.82  5.270  37
37.35  2.407  30
35.32  2.541  25
49.53  1.840  24
73.67  1.286  23
48.20  1.888  21
60.90  1.521  20

Record 5
Computed powder diffraction line list
Compound: YAlZn11
Radiation: a wavelength of 1.5418 Å
Structure: DFT lattice parameters and positions (PBE)

Structural model:
a b c (Å): 5.2598 12.5474 6.7963
angles (deg): 90.00 112.65 90.00
Space group C2/m (No. 12)
Symmetry-distinct sites (fractional):
1 Y 0.0000 0.0000 0.0000 (multiplicity 2)
2 Al 0.0000 0.0000 0.5000 (multiplicity 2)
3 Zn 0.0000 0.5000 0.5000 (multiplicity 2)
4 Zn 0.1043 0.3906 0.2157 (multiplicity 8)
5 Zn 0.1773 0.1777 0.3535 (multiplicity 8)
6 Zn 0.2500 0.2500 0.0000 (multiplicity 4)

Peak list (10 most intense, 2θ from 15° to 90°, by intensity)
2θ (°)  d_spacing  Rel. int.
40.48  2.228  100
39.85  2.262  66
44.98  2.015  54
40.68  2.218  53
34.80  2.578  45
45.55  1.991  28
45.74  1.984  26
34.09  2.630  22
73.90  1.282  20
65.33  1.428  18

Record 6
Computed powder diffraction line list
Compound: Y3Al9Zn2
Radiation: a wavelength of 1.5418 Å
Structure: DFT lattice parameters and positions (PBE)

Structural model:
a b c (Å): 4.2903 10.1104 12.3859
angles (deg): 90.00 90.00 90.00
Space group Immm (No. 71)
Symmetry-distinct sites (fractional):
1 Y 0.0000 0.0000 0.0000 (multiplicity 2)
2 Y 0.0000 0.0000 0.3144 (multiplicity 4)
3 Al 0.0000 0.2777 0.1380 (multiplicity 8)
4 Al 0.0000 0.3724 0.3419 (multiplicity 8)
5 Al 0.0000 0.5000 0.0000 (multiplicity 2)
6 Zn 0.0000 0.2055 0.5000 (multiplicity 4)

Peak list (10 most intense, 2θ from 15° to 90°, by intensity)
2θ (°)  d_spacing  Rel. int.
35.00  2.564  100
42.12  2.145  36
34.35  2.611  30
36.89  2.437  25
22.51  3.949  23
33.82  2.650  17
43.86  2.064  16
55.44  1.657  15
49.85  1.829  14
72.39  1.305  13

Record 7
Computed powder diffraction line list
Compound: Y2Al3Zn5
Radiation: a wavelength of 1.5418 Å
Structure: DFT lattice parameters and positions (PBE)

Structural model:
a b c (Å): 4.1889 4.1889 10.6797
angles (deg): 90.00 90.00 90.00
Space group P-4m2 (No. 115)
Symmetry-distinct sites (fractional):
1 Y 0.0000 0.5000 0.2482 (multiplicity 2)
2 Al 0.0000 0.5000 0.6447 (multiplicity 2)
3 Al 0.5000 0.5000 0.5000 (multiplicity 1)
4 Zn 0.0000 0.0000 0.0000 (multiplicity 1)
5 Zn 0.0000 0.0000 0.5000 (multiplicity 1)
6 Zn 0.0000 0.5000 0.8706 (multiplicity 2)
7 Zn 0.5000 0.5000 0.0000 (multiplicity 1)

Peak list (10 most intense, 2θ from 15° to 90°, by intensity)
2θ (°)  d_spacing  Rel. int.
34.63  2.590  100
43.19  2.094  52
33.02  2.713  52
47.80  1.903  25
55.42  1.658  22
73.69  1.286  20
66.37  1.408  18
62.74  1.481  16
45.75  1.983  14
60.70  1.526  13

Record 8
Computed powder diffraction line list
Compound: YZr2Al6
Radiation: a wavelength of 1.5418 Å
Structure: DFT lattice parameters and positions (PBE)

Structural model:
a b c (Å): 7.7616 7.7616 3.2773
angles (deg): 90.00 90.00 120.00
Space group P6/mmm (No. 191)
Symmetry-distinct sites (fractional):
1 Y 0.0000 0.0000 0.0000 (multiplicity 1)
2 Zr 0.3333 0.6667 0.0000 (multiplicity 2)
3 Al 0.0000 0.3364 0.5000 (multiplicity 6)

Peak list (10 most intense, 2θ from 15° to 90°, by intensity)
2θ (°)  d_spacing  Rel. int.
35.86  2.504  100
40.25  2.241  54
22.92  3.881  48
55.00  1.670  28
70.31  1.339  26
71.30  1.323  19
73.16  1.294  9
46.82  1.940  7
56.13  1.639  7
61.42  1.510  6

Record 9
Computed powder diffraction line list
Compound: Al4Zn
Radiation: a wavelength of 1.5418 Å
Structure: DFT lattice parameters and positions (PBE)

Structural model:
a b c (Å): 2.8103 2.8103 35.7597
angles (deg): 90.00 90.00 120.00
Space group R-3m (No. 166, hexagonal axes)
Symmetry-distinct sites (fractional):
1 Al 0.0000 0.0000 0.1013 (multiplicity 6)
2 Al 0.0000 0.0000 0.2994 (multiplicity 6)
3 Zn 0.0000 0.0000 0.5000 (multiplicity 3)

Peak list (10 most intense, 2θ from 15° to 90°, by intensity)
2θ (°)  d_spacing  Rel. int.
39.10  2.304  100
45.06  2.012  66
37.73  2.384  37
79.11  1.211  24
64.69  1.441  21
66.55  1.405  20
77.39  1.233  12
79.97  1.200  12
84.01  1.152  10
22.38  3.973  8

Record 10
Computed powder diffraction line list
Compound: AlZn7
Radiation: a wavelength of 1.5418 Å
Structure: DFT lattice parameters and positions (PBE)

Structural model:
a b c (Å): 3.9385 3.9385 15.8850
angles (deg): 90.00 90.00 90.00
Space group I4/mmm (No. 139)
Symmetry-distinct sites (fractional):
1 Al 0.0000 0.0000 0.0000 (multiplicity 2)
2 Zn 0.0000 0.0000 0.2495 (multiplicity 4)
3 Zn 0.0000 0.0000 0.5000 (multiplicity 2)
4 Zn 0.0000 0.5000 0.1252 (multiplicity 8)

Peak list (10 most intense, 2θ from 15° to 90°, by intensity)
2θ (°)  d_spacing  Rel. int.
39.52  2.280  100
46.09  1.969  32
80.89  1.188  22
66.92  1.398  19
45.69  1.986  16
80.30  1.196  11
67.23  1.392  10
85.09  1.140  10
23.27  3.823  3
28.24  3.160  2

Record 11
Computed powder diffraction line list
Compound: Al5Zn
Radiation: a wavelength of 1.5418 Å
Structure: DFT lattice parameters and positions (PBE)

Structural model:
a b c (Å): 10.5468 2.8703 6.9161
angles (deg): 90.00 109.04 90.00
Space group Cm (No. 8)
Symmetry-distinct sites (fractional):
1 Al 0.0000 0.0000 0.0000 (multiplicity 2)
2 Al 0.0499 0.0000 0.6062 (multiplicity 2)
3 Al 0.1660 0.5000 0.3348 (multiplicity 2)
4 Al 0.2202 0.5000 0.9444 (multiplicity 2)
5 Al 0.3303 0.0000 0.6687 (multiplicity 2)
6 Zn 0.3869 0.0000 0.2739 (multiplicity 2)

Peak list (10 most intense, 2θ from 15° to 90°, by intensity)
2θ (°)  d_spacing  Rel. int.
37.55  2.395  100
40.86  2.209  98
41.57  2.172  87
36.48  2.463  45
41.44  2.179  41
42.84  2.111  38
69.49  1.353  28
67.00  1.397  26
77.54  1.231  22
17.79  4.985  22

Record 12
Computed powder diffraction line list
Compound: Al3Zn4
Radiation: a wavelength of 1.5418 Å
Structure: DFT lattice parameters and positions (PBE)

Structural model:
a b c (Å): 3.9949 4.7604 6.4554
angles (deg): 97.81 93.99 112.48
Space group P-1 (No. 2)
Symmetry-distinct sites (fractional):
1 Al 0.0000 0.0000 0.0000 (multiplicity 1)
2 Al 0.4308 0.8546 0.2856 (multiplicity 2)
3 Zn 0.1426 0.2859 0.4300 (multiplicity 2)
4 Zn 0.2854 0.5725 0.8543 (multiplicity 2)

Peak list (10 most intense, 2θ from 15° to 90°, by intensity)
2θ (°)  d_spacing  Rel. int.
38.04  2.366  100
38.22  2.355  97
40.04  2.252  85
40.19  2.244  84
44.26  2.046  63
45.54  1.992  58
46.67  1.946  55
66.27  1.410  36
20.51  4.330  34
62.60  1.484  23